CaPd2: simulated powder diffractogram (λ = 1.5418 Å (Cu Kα)), based on a structure optimized by DFT (PBE).
Neutral-atom scattering factors, no anomalous dispersion.

Largest 10 diffraction maxima, by intensity, 10 to 90 degrees two-theta:
38.50 deg, I 1000
40.29 deg, I 723
19.83 deg, I 588
62.21 deg, I 310
68.44 deg, I 305
82.52 deg, I 261
46.86 deg, I 230
51.36 deg, I 144
81.37 deg, I 105
72.05 deg, I 105

Cell and atoms:
```
data_CaPd2
_chemical_formula_sum 'Ca2 Pd4'
_symmetry_space_group_name_H-M 'P 1'
_symmetry_Int_Tables_number 1
_cell_length_a 5.483
_cell_length_b 5.483
_cell_length_c 5.483
_cell_angle_alpha 60.00
_cell_angle_beta 60.00
_cell_angle_gamma 60.00
loop_
_symmetry_equiv_pos_as_xyz
'x,y,z'
loop_
_atom_site_label
_atom_site_type_symbol
_atom_site_fract_x
_atom_site_fract_y
_atom_site_fract_z
Ca1 Ca 0.125 0.125 0.125
Ca2 Ca 0.875 0.875 0.875
Pd1 Pd 0.000 0.500 0.500
Pd2 Pd 0.500 0.000 0.500
Pd3 Pd 0.500 0.500 0.000
Pd4 Pd 0.500 0.500 0.500
```

=====

Ca3Pd: simulated powder diffractogram (λ = 1.5418 Å (Cu Kα)), based on a structure optimized by DFT (PBE).
Neutral-atom scattering factors, no anomalous dispersion.

Largest 10 diffraction maxima, by intensity, 10 to 90 degrees two-theta:
32.65 deg, I 1000
19.93 deg, I 957
32.71 deg, I 943
30.88 deg, I 883
17.74 deg, I 791
18.08 deg, I 686
36.11 deg, I 656
37.11 deg, I 536
38.91 deg, I 434
37.77 deg, I 410

Cell and atoms:
```
data_Ca3Pd
_chemical_formula_sum 'Ca12 Pd4'
_symmetry_space_group_name_H-M 'P 1'
_symmetry_Int_Tables_number 1
_cell_length_a 7.662
_cell_length_b 9.813
_cell_length_c 6.600
_cell_angle_alpha 90.00
_cell_angle_beta 90.00
_cell_angle_gamma 90.00
loop_
_symmetry_equiv_pos_as_xyz
'x,y,z'
loop_
_atom_site_label
_atom_site_type_symbol
_atom_site_fract_x
_atom_site_fract_y
_atom_site_fract_z
Ca1 Ca 0.039 0.250 0.138
Ca2 Ca 0.172 0.065 0.662
Ca3 Ca 0.172 0.435 0.662
Ca4 Ca 0.328 0.565 0.162
Ca5 Ca 0.328 0.935 0.162
Ca6 Ca 0.461 0.750 0.638
Ca7 Ca 0.539 0.250 0.362
Ca8 Ca 0.672 0.065 0.838
Ca9 Ca 0.672 0.435 0.838
Ca10 Ca 0.828 0.565 0.338
Ca11 Ca 0.828 0.935 0.338
Ca12 Ca 0.961 0.750 0.862
Pd1 Pd 0.120 0.750 0.449
Pd2 Pd 0.380 0.250 0.949
Pd3 Pd 0.620 0.750 0.051
Pd4 Pd 0.880 0.250 0.551
```

=====

CaPmPd2: simulated powder diffractogram (λ = 1.5418 Å (Cu Kα)), based on a structure optimized by DFT (PBE).
Neutral-atom scattering factors, no anomalous dispersion.

Largest 10 diffraction maxima, by intensity, 10 to 90 degrees two-theta:
35.58 deg, I 1000
63.90 deg, I 351
51.20 deg, I 174
21.57 deg, I 154
86.19 deg, I 154
75.33 deg, I 107
41.99 deg, I 86
56.18 deg, I 38
79.45 deg, I 29
68.29 deg, I 29

Cell and atoms:
```
data_CaPmPd2
_chemical_formula_sum 'Ca1 Pm1 Pd2'
_symmetry_space_group_name_H-M 'P 1'
_symmetry_Int_Tables_number 1
_cell_length_a 5.046
_cell_length_b 5.046
_cell_length_c 5.046
_cell_angle_alpha 60.00
_cell_angle_beta 60.00
_cell_angle_gamma 60.00
loop_
_symmetry_equiv_pos_as_xyz
'x,y,z'
loop_
_atom_site_label
_atom_site_type_symbol
_atom_site_fract_x
_atom_site_fract_y
_atom_site_fract_z
Ca1 Ca 0.000 0.000 0.000
Pm1 Pm 0.500 0.500 0.500
Pd1 Pd 0.250 0.250 0.250
Pd2 Pd 0.750 0.750 0.750
```

=====

CaSbPd2: simulated powder diffractogram (λ = 1.5418 Å (Cu Kα)), based on a structure optimized by DFT (PBE).
Neutral-atom scattering factors, no anomalous dispersion.

Largest 10 diffraction maxima, by intensity, 10 to 90 degrees two-theta:
37.44 deg, I 1000
67.55 deg, I 337
53.99 deg, I 169
79.87 deg, I 104
22.67 deg, I 102
44.22 deg, I 55
26.24 deg, I 26
59.29 deg, I 23
84.34 deg, I 18
72.26 deg, I 18

Cell and atoms:
```
data_CaSbPd2
_chemical_formula_sum 'Ca1 Sb1 Pd2'
_symmetry_space_group_name_H-M 'P 1'
_symmetry_Int_Tables_number 1
_cell_length_a 4.804
_cell_length_b 4.804
_cell_length_c 4.804
_cell_angle_alpha 60.00
_cell_angle_beta 60.00
_cell_angle_gamma 60.00
loop_
_symmetry_equiv_pos_as_xyz
'x,y,z'
loop_
_atom_site_label
_atom_site_type_symbol
_atom_site_fract_x
_atom_site_fract_y
_atom_site_fract_z
Ca1 Ca 0.000 0.000 0.000
Sb1 Sb 0.500 0.500 0.500
Pd1 Pd 0.250 0.250 0.250
Pd2 Pd 0.750 0.750 0.750
```

=====

Ca2Sb4Pd3: simulated powder diffractogram (λ = 1.5418 Å (Cu Kα)), based on a structure optimized by DFT (PBE).
Neutral-atom scattering factors, no anomalous dispersion.

Largest 10 diffraction maxima, by intensity, 10 to 90 degrees two-theta:
32.77 deg, I 1000
39.93 deg, I 710
44.50 deg, I 554
16.77 deg, I 407
75.71 deg, I 249
19.77 deg, I 238
57.75 deg, I 234
68.01 deg, I 227
30.54 deg, I 197
22.32 deg, I 148

Cell and atoms:
```
data_Ca2Sb4Pd3
_chemical_formula_sum 'Ca4 Sb8 Pd6'
_symmetry_space_group_name_H-M 'P 1'
_symmetry_Int_Tables_number 1
_cell_length_a 21.388
_cell_length_b 21.388
_cell_length_c 21.388
_cell_angle_alpha 167.88
_cell_angle_beta 167.88
_cell_angle_gamma 17.17
loop_
_symmetry_equiv_pos_as_xyz
'x,y,z'
loop_
_atom_site_label
_atom_site_type_symbol
_atom_site_fract_x
_atom_site_fract_y
_atom_site_fract_z
Ca1 Ca 0.055 0.055 0.000
Ca2 Ca 0.187 0.187 0.000
Ca3 Ca 0.813 0.813 0.000
Ca4 Ca 0.945 0.945 0.000
Sb1 Sb 0.118 0.618 0.500
Sb2 Sb 0.284 0.284 0.000
Sb3 Sb 0.382 0.882 0.500
Sb4 Sb 0.463 0.463 0.000
Sb5 Sb 0.537 0.537 0.000
Sb6 Sb 0.618 0.118 0.500
Sb7 Sb 0.716 0.716 0.000
Sb8 Sb 0.882 0.382 0.500
Pd1 Pd 0.000 0.500 0.500
Pd2 Pd 0.250 0.750 0.500
Pd3 Pd 0.346 0.346 0.000
Pd4 Pd 0.500 0.000 0.500
Pd5 Pd 0.654 0.654 0.000
Pd6 Pd 0.750 0.250 0.500
```

=====

CaSi2Pd2: simulated powder diffractogram (λ = 1.5418 Å (Cu Kα)), based on a structure optimized by DFT (PBE).
Neutral-atom scattering factors, no anomalous dispersion.

Largest 10 diffraction maxima, by intensity, 10 to 90 degrees two-theta:
34.97 deg, I 1000
18.04 deg, I 566
42.51 deg, I 417
47.78 deg, I 321
72.90 deg, I 276
64.79 deg, I 217
46.53 deg, I 194
29.71 deg, I 152
57.27 deg, I 139
81.58 deg, I 135

Cell and atoms:
```
data_CaSi2Pd2
_chemical_formula_sum 'Ca1 Si2 Pd2'
_symmetry_space_group_name_H-M 'P 1'
_symmetry_Int_Tables_number 1
_cell_length_a 5.765
_cell_length_b 5.765
_cell_length_c 5.765
_cell_angle_alpha 136.71
_cell_angle_beta 136.71
_cell_angle_gamma 62.89
loop_
_symmetry_equiv_pos_as_xyz
'x,y,z'
loop_
_atom_site_label
_atom_site_type_symbol
_atom_site_fract_x
_atom_site_fract_y
_atom_site_fract_z
Ca1 Ca 0.000 0.000 0.000
Si1 Si 0.378 0.378 0.000
Si2 Si 0.622 0.622 0.000
Pd1 Pd 0.250 0.750 0.500
Pd2 Pd 0.750 0.250 0.500
```

=====

Ca4Si3Pd4: simulated powder diffractogram (λ = 1.5418 Å (Cu Kα)), based on a structure optimized by DFT (PBE).
Neutral-atom scattering factors, no anomalous dispersion.

Largest 10 diffraction maxima, by intensity, 10 to 90 degrees two-theta:
40.27 deg, I 1000
37.76 deg, I 694
33.65 deg, I 634
36.52 deg, I 535
26.75 deg, I 462
34.55 deg, I 426
44.09 deg, I 354
36.36 deg, I 327
19.22 deg, I 290
27.73 deg, I 262

Cell and atoms:
```
data_Ca4Si3Pd4
_chemical_formula_sum 'Ca8 Si6 Pd8'
_symmetry_space_group_name_H-M 'P 1'
_symmetry_Int_Tables_number 1
_cell_length_a 10.883
_cell_length_b 10.883
_cell_length_c 7.877
_cell_angle_alpha 108.45
_cell_angle_beta 108.45
_cell_angle_gamma 30.39
loop_
_symmetry_equiv_pos_as_xyz
'x,y,z'
loop_
_atom_site_label
_atom_site_type_symbol
_atom_site_fract_x
_atom_site_fract_y
_atom_site_fract_z
Ca1 Ca 0.065 0.799 0.827
Ca2 Ca 0.201 0.935 0.673
Ca3 Ca 0.205 0.456 0.095
Ca4 Ca 0.456 0.205 0.595
Ca5 Ca 0.544 0.795 0.405
Ca6 Ca 0.795 0.544 0.905
Ca7 Ca 0.799 0.065 0.327
Ca8 Ca 0.935 0.201 0.173
Si1 Si 0.039 0.304 0.565
Si2 Si 0.304 0.039 0.065
Si3 Si 0.385 0.615 0.250
Si4 Si 0.615 0.385 0.750
Si5 Si 0.696 0.961 0.935
Si6 Si 0.961 0.696 0.435
Pd1 Pd 0.086 0.358 0.319
Pd2 Pd 0.302 0.574 0.476
Pd3 Pd 0.358 0.086 0.819
Pd4 Pd 0.426 0.698 0.024
Pd5 Pd 0.574 0.302 0.976
Pd6 Pd 0.642 0.914 0.181
Pd7 Pd 0.698 0.426 0.524
Pd8 Pd 0.914 0.642 0.681
```

=====

CaSn2Pd: simulated powder diffractogram (λ = 1.5418 Å (Cu Kα)), based on a structure optimized by DFT (PBE).
Neutral-atom scattering factors, no anomalous dispersion.

Largest 10 diffraction maxima, by intensity, 10 to 90 degrees two-theta:
31.99 deg, I 1000
39.34 deg, I 941
41.86 deg, I 632
40.45 deg, I 519
33.34 deg, I 462
15.72 deg, I 457
39.85 deg, I 358
19.62 deg, I 351
33.93 deg, I 305
61.17 deg, I 292

Cell and atoms:
```
data_CaSn2Pd
_chemical_formula_sum 'Ca2 Sn4 Pd2'
_symmetry_space_group_name_H-M 'P 1'
_symmetry_Int_Tables_number 1
_cell_length_a 6.063
_cell_length_b 6.063
_cell_length_c 7.582
_cell_angle_alpha 90.00
_cell_angle_beta 90.00
_cell_angle_gamma 136.84
loop_
_symmetry_equiv_pos_as_xyz
'x,y,z'
loop_
_atom_site_label
_atom_site_type_symbol
_atom_site_fract_x
_atom_site_fract_y
_atom_site_fract_z
Ca1 Ca 0.069 0.931 0.750
Ca2 Ca 0.931 0.069 0.250
Sn1 Sn 0.358 0.642 0.545
Sn2 Sn 0.358 0.642 0.955
Sn3 Sn 0.642 0.358 0.045
Sn4 Sn 0.642 0.358 0.455
Pd1 Pd 0.204 0.796 0.250
Pd2 Pd 0.796 0.204 0.750
```